# 1
Computed powder diffractogram of Dy2Mn12Ga5 for a wavelength of 1.5418 Å, from a structure optimized by DFT (PBE).
Lines closer than 0.1° are merged.

Largest 8 diffraction maxima, sorted by position, 5 to 70 degrees two-theta:
- 29.74 deg, d 3.004, rel. 39
- 36.44 deg, d 2.466, rel. 43
- 40.24 deg, d 2.241, rel. 24
- 42.32 deg, d 2.136, rel. 60
- 42.44 deg, d 2.130, rel. 100
- 42.80 deg, d 2.113, rel. 31
- 45.72 deg, d 1.984, rel. 18
- 47.72 deg, d 1.906, rel. 17

Cell and atoms:
Lattice parameters (Å, degrees): 8.5423 8.5423 8.4505 90.00 90.00 120.00
Positions (direct):
1 Dy 0.0000 0.0000 0.2500
2 Dy 0.0000 0.0000 0.7500
3 Dy 0.3333 0.6667 0.2500
4 Dy 0.6667 0.3333 0.7500
5 Mn 0.0297 0.3536 0.7500
6 Mn 0.0297 0.6761 0.7500
7 Mn 0.1549 0.3098 0.0070
8 Mn 0.1549 0.3098 0.4930
9 Mn 0.1549 0.8451 0.0070
10 Mn 0.1549 0.8451 0.4930
11 Mn 0.3098 0.1549 0.5070
12 Mn 0.3098 0.1549 0.9930
13 Mn 0.3239 0.3536 0.7500
14 Mn 0.3239 0.9703 0.7500
15 Mn 0.3536 0.0297 0.2500
16 Mn 0.3536 0.3239 0.2500
17 Mn 0.6464 0.6761 0.7500
18 Mn 0.6464 0.9703 0.7500
19 Mn 0.6761 0.0297 0.2500
20 Mn 0.6761 0.6464 0.2500
21 Mn 0.6902 0.8451 0.0070
22 Mn 0.6902 0.8451 0.4930
23 Mn 0.8451 0.1549 0.5070
24 Mn 0.8451 0.1549 0.9930
25 Mn 0.8451 0.6902 0.5070
26 Mn 0.8451 0.6902 0.9930
27 Mn 0.9703 0.3239 0.2500
28 Mn 0.9703 0.6464 0.2500
29 Ga 0.0000 0.5000 0.0000
30 Ga 0.0000 0.5000 0.5000
31 Ga 0.3333 0.6667 0.6055
32 Ga 0.3333 0.6667 0.8945
33 Ga 0.5000 0.0000 0.0000
34 Ga 0.5000 0.0000 0.5000
35 Ga 0.5000 0.5000 0.0000
36 Ga 0.5000 0.5000 0.5000
37 Ga 0.6667 0.3333 0.1055
38 Ga 0.6667 0.3333 0.3945

# 2
Computed powder diffractogram of MnInCuTe3 for a wavelength of 1.5418 Å, from a structure optimized by DFT (PBE).
Lines closer than 0.1° are merged.

Largest 8 diffraction maxima, sorted by position, 5 to 70 degrees two-theta:
- 24.43 deg, d 3.644, rel. 87
- 24.54 deg, d 3.628, rel. 81
- 40.29 deg, d 2.239, rel. 22
- 40.56 deg, d 2.224, rel. 100
- 47.74 deg, d 1.905, rel. 26
- 47.93 deg, d 1.898, rel. 26
- 48.06 deg, d 1.893, rel. 24
- 58.50 deg, d 1.578, rel. 13

Cell and atoms:
Lattice parameters (Å, degrees): 14.7424 4.4775 6.2718 90.00 115.18 90.00
Positions (direct):
1 Mn 0.0000 0.0000 0.0000
2 Mn 0.5000 0.5000 0.0000
3 In 0.3277 0.0000 0.3167
4 In 0.8277 0.5000 0.3167
5 Cu 0.1619 0.5000 0.6694
6 Cu 0.6619 0.0000 0.6694
7 Te 0.0086 0.5000 0.2570
8 Te 0.1563 0.0000 0.8812
9 Te 0.3243 0.5000 0.6017
10 Te 0.5086 0.0000 0.2570
11 Te 0.6563 0.5000 0.8812
12 Te 0.8243 0.0000 0.6017

# 3
Computed powder diffractogram of ZnB2H8 for a wavelength of 1.5418 Å, from a structure optimized by DFT (PBE).
Lines closer than 0.1° are merged.

Largest 8 diffraction maxima, sorted by position, 5 to 70 degrees two-theta:
- 20.88 deg, d 4.254, rel. 100
- 20.99 deg, d 4.233, rel. 45
- 21.78 deg, d 4.080, rel. 40
- 29.78 deg, d 3.000, rel. 64
- 37.68 deg, d 2.387, rel. 24
- 43.53 deg, d 2.079, rel. 30
- 47.86 deg, d 1.900, rel. 22
- 48.01 deg, d 1.895, rel. 20

Cell and atoms:
Lattice parameters (Å, degrees): 4.2330 4.9844 8.1609 90.00 90.00 90.00
Positions (direct):
1 Zn 0.0000 0.2167 0.0000
2 Zn 0.0000 0.7833 0.5000
3 B 0.0000 0.0380 0.7386
4 B 0.0000 0.9620 0.2386
5 B 0.5000 0.4379 0.9599
6 B 0.5000 0.5621 0.4599
7 H 0.0000 0.0984 0.3656
8 H 0.0000 0.2824 0.7500
9 H 0.0000 0.7176 0.2500
10 H 0.0000 0.9016 0.8656
11 H 0.2500 0.0152 0.1701
12 H 0.2500 0.9848 0.6701
13 H 0.2804 0.4941 0.0574
14 H 0.2804 0.5059 0.5574
15 H 0.5000 0.2011 0.9197
16 H 0.5000 0.4193 0.3428
17 H 0.5000 0.5807 0.8428
18 H 0.5000 0.7989 0.4197
19 H 0.7196 0.4941 0.0574
20 H 0.7196 0.5059 0.5574
21 H 0.7500 0.0152 0.1701
22 H 0.7500 0.9848 0.6701

# 4
Computed powder diffractogram of Er4Ge6Rh7 for a wavelength of 1.5418 Å, from a structure optimized by DFT (PBE).
Lines closer than 0.1° are merged.

Largest 8 diffraction maxima, sorted by position, 5 to 70 degrees two-theta:
- 30.17 deg, d 2.962, rel. 31
- 37.18 deg, d 2.418, rel. 100
- 40.28 deg, d 2.239, rel. 20
- 43.20 deg, d 2.094, rel. 63
- 45.96 deg, d 1.974, rel. 9
- 48.61 deg, d 1.873, rel. 6
- 51.14 deg, d 1.786, rel. 14
- 62.74 deg, d 1.481, rel. 33

Cell and atoms:
Lattice parameters (Å, degrees): 7.2547 7.2547 7.2547 109.47 109.47 109.47
Positions (direct):
1 Er 0.0000 0.0000 0.5000
2 Er 0.0000 0.5000 0.0000
3 Er 0.5000 0.0000 0.0000
4 Er 0.5000 0.5000 0.5000
5 Ge 0.0000 0.3186 0.3186
6 Ge 0.0000 0.6814 0.6814
7 Ge 0.3186 0.0000 0.3186
8 Ge 0.3186 0.3186 0.0000
9 Ge 0.6814 0.0000 0.6814
10 Ge 0.6814 0.6814 0.0000
11 Rh 0.0000 0.0000 0.0000
12 Rh 0.2500 0.5000 0.7500
13 Rh 0.2500 0.7500 0.5000
14 Rh 0.5000 0.2500 0.7500
15 Rh 0.5000 0.7500 0.2500
16 Rh 0.7500 0.2500 0.5000
17 Rh 0.7500 0.5000 0.2500